(1)
Er2CdAg6: simulated XRD peak list (Cu Ka), based on DFT lattice parameters and positions (GGA-PBE).
No peak broadening, texture or thermal motion is included.

Structure:
```
data_Er2CdAg6
_chemical_formula_sum 'Er4 Cd2 Ag12'
_symmetry_space_group_name_H-M 'P 42/m n m'
_symmetry_Int_Tables_number 136
_symmetry_space_group_name_Hall '-P 4n 2n'
_cell_length_a 8.960
_cell_length_b 8.960
_cell_length_c 4.552
_cell_angle_alpha 90.00
_cell_angle_beta 90.00
_cell_angle_gamma 90.00
loop_
_atom_site_label
_atom_site_type_symbol
_atom_site_fract_x
_atom_site_fract_y
_atom_site_fract_z
_atom_site_occupancy
Er1 Er 0.193 0.193 0.000 1
Cd1 Cd 0.000 0.000 0.500 1
Ag1 Ag 0.029 0.343 0.500 1
Ag2 Ag 0.144 0.856 0.000 1
```

Most intense lines, 2θ from 10° to 90°, in order of rising 2θ:
2theta	I (rel.)
35.97	100
36.15	8
37.39	18
39.60	23
42.82	25
59.74	18
69.49	20
73.96	10


(2)
Er2Cd5Ag: simulated XRD peak list (Cu Ka), based on DFT lattice parameters and positions (GGA-PBE).
No peak broadening, texture or thermal motion is included.

Structure:
```
data_Er2Cd5Ag
_chemical_formula_sum 'Er6 Cd15 Ag3'
_symmetry_space_group_name_H-M 'R -3 m'
_symmetry_Int_Tables_number 166
_symmetry_space_group_name_Hall '-R 3 2"'
_cell_length_a 4.6918
_cell_length_b 4.6918
_cell_length_c 32.4281
_cell_angle_alpha 90.00
_cell_angle_beta 90.00
_cell_angle_gamma 120.00
loop_
_atom_site_label
_atom_site_type_symbol
_atom_site_fract_x
_atom_site_fract_y
_atom_site_fract_z
_atom_site_occupancy
Er1 Er 0.0000 0.0000 0.0919 1
Cd1 Cd 0.0000 0.0000 0.1970 1
Cd2 Cd 0.0000 0.0000 0.3657 1
Cd3 Cd 0.0000 0.0000 0.5000 1
Ag1 Ag 0.0000 0.0000 0.0000 1
```

Most intense lines, 2θ from 10° to 90°, in order of rising 2θ:
2theta	I (rel.)
22.05	15
29.24	70
35.42	46
37.70	45
38.37	100
48.96	16
54.88	15
69.39	17